The following is a computed X-ray diffraction stick pattern of Sb2Ir. It was derived from a DFT-relaxed cell (PBE, OQMD), using λ = 1.5418 Å (Cu Kα).

Most intense lines, 15 to 90 degrees two-theta, most intense first:
2theta, Rel. int., hkl
31.77, 100, 1 1 2
44.68, 74, 3 1 1
34.13, 67, 2 1 1
41.53, 59, 0 2 0
45.53, 58, 2 1 3
37.44, 48, 0 1 3

```
data_Sb2Ir
_chemical_formula_sum 'Sb8 Ir4'
_cell_length_a 7.1329
_cell_length_b 4.3493
_cell_length_c 8.6438
_cell_angle_alpha 90.00
_cell_angle_beta 90.00
_cell_angle_gamma 90.00
_symmetry_space_group_name_H-M 'P n m a'
_symmetry_Int_Tables_number 62
loop_
_symmetry_equiv_pos_as_xyz
'x,y,z'
'-x,-y,-z'
'-x+1/2,-y,z+1/2'
'x+1/2,y,-z+1/2'
'x+1/2,-y+1/2,-z+1/2'
'-x+1/2,y+1/2,z+1/2'
'-x,y+1/2,-z'
'x,-y+1/2,z'
loop_
_atom_site_label
_atom_site_fract_x
_atom_site_fract_y
_atom_site_fract_z
Sb1 0.0243 0.2500 0.1396
Sb2 0.1257 0.7500 0.3936
Ir1 0.2435 0.7500 0.0750
```